# 1
For BaAc8Co4, a crystal structure in Alexandria, relaxed with GGA-PBE gives the computed XRD peak list in this record (Cu Kα (λ = 1.5418 Å)).
No peak broadening, texture or thermal motion is included.

Top 10 peaks for 10° ≤ 2θ ≤ 90°, by angle:
2theta, I (rel.)
25.58, 32
26.98, 19
27.49, 100
30.85, 20
32.49, 12
36.48, 16
41.91, 13
44.53, 34
46.28, 16
49.71, 17

Crystal structure
Cell: 10.6690 10.6690 10.6690 Å, 92.34 92.34 156.68°
Positions (direct):
Ba1 0.0000 0.0000 0.0000
Ac1 0.0422 0.3370 0.3792
Ac2 0.3054 0.3476 0.6530
Ac3 0.3370 0.9578 0.2948
Ac4 0.3476 0.6946 0.0423
Ac5 0.6524 0.3054 0.9577
Ac6 0.6630 0.0422 0.7052
Ac7 0.6946 0.6524 0.3470
Ac8 0.9578 0.6630 0.6208
Co1 0.1506 0.6725 0.8231
Co2 0.3275 0.1506 0.4780
Co3 0.6725 0.8494 0.5220
Co4 0.8494 0.3275 0.1769



# 2
For PmDyNiIr, a crystal structure in Alexandria, relaxed with GGA-PBE gives the computed XRD peak list in this record (Cu Kα (λ = 1.5418 Å)).
No peak broadening, texture or thermal motion is included.

Top 10 peaks for 10° ≤ 2θ ≤ 90°, by angle:
2theta, I (rel.)
16.48, 19
32.66, 100
33.31, 25
33.87, 34
40.08, 27
40.56, 60
44.13, 24
46.29, 21
56.76, 16
82.11, 16

Crystal structure
Cell: 4.1048 5.7253 5.7253 Å, 40.06 90.00 90.00°
Positions (direct):
Pm1 0.0000 0.0000 0.0000
Dy1 0.5000 0.7163 0.7163
Ni1 0.5000 0.4288 0.4288
Ir1 0.0000 0.2789 0.2789



# 3
For Tm8Al2Tl, a crystal structure in Alexandria, relaxed with GGA-PBE gives the computed XRD peak list in this record (Cu Kα (λ = 1.5418 Å)).
No peak broadening, texture or thermal motion is included.

Top 10 peaks for 10° ≤ 2θ ≤ 90°, by angle:
2theta, I (rel.)
24.33, 23
32.53, 29
33.01, 23
33.81, 100
36.41, 27
37.27, 21
49.96, 15
53.09, 15
63.86, 17
64.68, 11

Crystal structure
Cell: 8.6970 8.6970 8.6970 Å, 147.04 123.09 67.35°
Positions (direct):
Tm1 0.1267 0.3391 0.7876
Tm2 0.1465 0.1465 0.0000
Tm3 0.3107 0.0000 0.3107
Tm4 0.4484 0.6609 0.7876
Tm5 0.5516 0.3391 0.2124
Tm6 0.6893 0.0000 0.6893
Tm7 0.8535 0.8535 0.0000
Tm8 0.8733 0.6609 0.2124
Al1 0.3060 0.8060 0.5000
Al2 0.6940 0.1940 0.5000
Tl1 0.0000 0.5000 0.5000



# 4
For Al3CoW9C3, a crystal structure in Alexandria, relaxed with GGA-PBE gives the computed XRD peak list in this record (Cu Kα (λ = 1.5418 Å)).
No peak broadening, texture or thermal motion is included.

Top 10 peaks for 10° ≤ 2θ ≤ 90°, by angle:
2theta, I (rel.)
12.87, 39
28.32, 33
34.50, 53
34.64, 50
36.67, 86
39.30, 39
41.00, 100
41.64, 75
43.39, 52
69.52, 58

Crystal structure
Cell: 7.9425 7.9425 7.8676 Å, 90.00 90.00 120.00°
Positions (direct):
Al1 0.1103 0.2205 0.2500
Al2 0.1103 0.8897 0.2500
Al3 0.2205 0.1103 0.7500
Al4 0.7795 0.8897 0.2500
Al5 0.8897 0.1103 0.7500
Al6 0.8897 0.7795 0.7500
Co1 0.0000 0.0000 0.0000
Co2 0.0000 0.0000 0.5000
W1 0.1032 0.5516 0.2500
W2 0.2043 0.4085 0.5728
W3 0.2043 0.4085 0.9272
W4 0.2043 0.7957 0.5728
W5 0.2043 0.7957 0.9272
W6 0.4085 0.2043 0.0728
W7 0.4085 0.2043 0.4272
W8 0.4484 0.5516 0.2500
W9 0.4484 0.8968 0.2500
W10 0.5516 0.1032 0.7500
W11 0.5516 0.4484 0.7500
W12 0.5915 0.7957 0.5728
W13 0.5915 0.7957 0.9272
W14 0.7957 0.2043 0.0728
W15 0.7957 0.2043 0.4272
W16 0.7957 0.5915 0.0728
W17 0.7957 0.5915 0.4272
W18 0.8968 0.4484 0.7500
C1 0.0000 0.5000 0.0000
C2 0.0000 0.5000 0.5000
C3 0.5000 0.0000 0.0000
C4 0.5000 0.0000 0.5000
C5 0.5000 0.5000 0.0000
C6 0.5000 0.5000 0.5000



# 5
For NpSnI5, a crystal structure in Alexandria, relaxed with GGA-PBE gives the computed XRD peak list in this record (Cu Kα (λ = 1.5418 Å)).
No peak broadening, texture or thermal motion is included.

Top 10 peaks for 10° ≤ 2θ ≤ 90°, by angle:
2theta, I (rel.)
11.09, 100
25.23, 33
27.41, 28
27.86, 76
29.71, 23
29.81, 22
31.98, 21
37.72, 33
39.66, 30
41.02, 27

Crystal structure
Cell: 9.0607 4.5447 15.0577 Å, 90.00 93.66 90.00°
Positions (direct):
Np1 0.0905 0.2500 0.1490
Np2 0.9095 0.7500 0.8510
Sn1 0.4022 0.7500 0.3685
Sn2 0.5978 0.2500 0.6315
I1 0.1170 0.2500 0.7903
I2 0.1467 0.2500 0.3655
I3 0.1827 0.7500 0.0130
I4 0.3532 0.7500 0.5705
I5 0.4287 0.2500 0.1840
I6 0.5713 0.7500 0.8160
I7 0.6468 0.2500 0.4295
I8 0.8173 0.2500 0.9870
I9 0.8533 0.7500 0.6345
I10 0.8830 0.7500 0.2097



# 6
For Mn3Co2As3Rh, a crystal structure in Alexandria, relaxed with GGA-PBE gives the computed XRD peak list in this record (Cu Kα (λ = 1.5418 Å)).
No peak broadening, texture or thermal motion is included.

Top 10 peaks for 10° ≤ 2θ ≤ 90°, by angle:
2theta, I (rel.)
37.78, 21
38.22, 93
41.52, 100
42.06, 25
43.75, 25
50.28, 31
50.46, 41
51.38, 37
51.76, 20
74.00, 18

Crystal structure
Cell: 3.6172 6.2066 6.2066 Å, 118.71 90.00 90.00°
Positions (direct):
Mn1 0.0000 0.0000 0.0000
Mn2 0.0000 0.4065 0.8174
Mn3 0.0000 0.8174 0.4065
Co1 0.5000 0.1461 0.4037
Co2 0.5000 0.4037 0.1461
As1 0.0000 0.3873 0.3873
As2 0.5000 0.0860 0.7442
As3 0.5000 0.7442 0.0860
Rh1 0.5000 0.6607 0.6607



# 7
For KYS2N, a crystal structure in Alexandria, relaxed with GGA-PBE gives the computed XRD peak list in this record (Cu Kα (λ = 1.5418 Å)).
No peak broadening, texture or thermal motion is included.

Top 10 peaks for 10° ≤ 2θ ≤ 90°, by angle:
2theta, I (rel.)
16.55, 41
18.74, 40
23.49, 26
25.10, 100
33.46, 76
38.01, 26
38.62, 24
42.28, 48
48.04, 25
51.52, 40

Crystal structure
Cell: 5.3568 5.3568 4.7348 Å, 90.00 90.00 90.00°
Positions (direct):
K1 0.0000 0.0000 0.0000
Y1 0.5000 0.5000 0.5000
S1 0.0000 0.5000 0.5000
S2 0.5000 0.0000 0.5000
N1 0.5000 0.5000 0.0000



# 8
For LiNb2Pd9, a crystal structure in Alexandria, relaxed with GGA-PBE gives the computed XRD peak list in this record (Cu Kα (λ = 1.5418 Å)).
No peak broadening, texture or thermal motion is included.

Top 10 peaks for 10° ≤ 2θ ≤ 90°, by angle:
2theta, I (rel.)
15.01, 3
27.10, 3
39.48, 100
45.79, 33
46.15, 16
66.77, 10
67.04, 20
80.43, 24
80.94, 11
84.99, 10

Crystal structure
Cell: 3.9628 3.9628 11.8025 Å, 90.00 90.00 90.00°
Positions (direct):
Li1 0.0000 0.0000 0.0000
Nb1 0.0000 0.0000 0.3227
Nb2 0.0000 0.0000 0.6773
Pd1 0.0000 0.5000 0.1684
Pd2 0.0000 0.5000 0.5000
Pd3 0.0000 0.5000 0.8316
Pd4 0.5000 0.0000 0.1684
Pd5 0.5000 0.0000 0.5000
Pd6 0.5000 0.0000 0.8316
Pd7 0.5000 0.5000 0.0000
Pd8 0.5000 0.5000 0.3355
Pd9 0.5000 0.5000 0.6645